[1]
Starting from the PBE geometry in the Materials Project, the X-ray powder pattern of Zr3N2O3 was computed for Cu Ka.
Neutral-atom scattering factors, no anomalous dispersion.

Principal peaks in the range 2θ from 10° to 90°, in order of rising 2θ:
d (Å)	2theta	I_rel
5.406	16.40	58
3.796	23.44	100
3.012	29.66	45
2.988	29.90	41
2.693	33.27	51
2.618	34.25	34
2.611	34.35	30
2.027	44.72	32
1.803	50.62	22
1.681	54.58	33

Cell and atoms:
```
data_Zr3N2O3
_chemical_formula_sum 'Zr6 N4 O6'
_cell_length_a 5.772
_cell_length_b 5.772
_cell_length_c 10.822
_cell_angle_alpha 90.46
_cell_angle_beta 90.46
_cell_angle_gamma 41.11
_symmetry_space_group_name_H-M 'P 1'
_symmetry_Int_Tables_number 1
_symmetry_space_group_name_Hall 'P 1'
loop_
_atom_site_label
_atom_site_type_symbol
_atom_site_fract_x
_atom_site_fract_y
_atom_site_fract_z
Zr1 Zr 0.000 0.000 0.000
Zr2 Zr 0.007 0.007 0.386
Zr3 Zr 0.047 0.047 0.693
Zr4 Zr 0.670 0.670 0.194
Zr5 Zr 0.720 0.720 0.499
Zr6 Zr 0.728 0.728 0.885
N1 N 0.161 0.161 0.523
N2 N 0.565 0.565 0.364
N3 N 0.568 0.568 0.019
N4 N 0.910 0.910 0.829
O1 O 0.109 0.109 0.196
O2 O 0.173 0.173 0.864
O3 O 0.619 0.619 0.701
O4 O 0.819 0.819 0.329
O5 O 0.820 0.820 0.064
O6 O 0.908 0.908 0.558
```

=====

[2]
Starting from the PBE geometry in the Materials Project, the X-ray powder pattern of Zr3N2O3 was computed for Cu Ka.
Neutral-atom scattering factors, no anomalous dispersion.

Principal peaks in the range 2θ from 10° to 90°, in order of rising 2θ:
d (Å)	2theta	I_rel
5.353	16.56	63
3.824	23.26	100
2.985	29.93	44
2.969	30.10	45
2.689	33.32	57
2.614	34.30	73
2.047	44.25	35
1.791	50.98	21
1.688	54.34	16
1.685	54.47	23

Cell and atoms:
```
data_Zr3N2O3
_chemical_formula_sum 'Zr6 N4 O6'
_cell_length_a 5.729
_cell_length_b 5.729
_cell_length_c 10.749
_cell_angle_alpha 90.31
_cell_angle_beta 90.31
_cell_angle_gamma 41.88
_symmetry_space_group_name_H-M 'P 1'
_symmetry_Int_Tables_number 1
_symmetry_space_group_name_Hall 'P 1'
loop_
_atom_site_label
_atom_site_type_symbol
_atom_site_fract_x
_atom_site_fract_y
_atom_site_fract_z
Zr1 Zr 0.000 0.000 0.000
Zr2 Zr 0.001 0.001 0.371
Zr3 Zr 0.049 0.049 0.683
Zr4 Zr 0.662 0.662 0.191
Zr5 Zr 0.714 0.714 0.493
Zr6 Zr 0.718 0.718 0.872
N1 N 0.091 0.091 0.179
N2 N 0.154 0.154 0.861
N3 N 0.157 0.157 0.515
N4 N 0.557 0.557 0.360
O1 O 0.550 0.550 0.006
O2 O 0.612 0.612 0.686
O3 O 0.809 0.809 0.047
O4 O 0.811 0.811 0.318
O5 O 0.898 0.898 0.816
O6 O 0.901 0.901 0.552
```

=====

[3]
Starting from the PBE geometry in the Materials Project, the X-ray powder pattern of Zr3N2O3 was computed for Cu Ka.
Neutral-atom scattering factors, no anomalous dispersion.

Principal peaks in the range 2θ from 10° to 90°, in order of rising 2θ:
d (Å)	2theta	I_rel
5.374	16.50	63
3.819	23.29	100
2.987	29.92	79
2.693	33.26	57
2.617	34.26	65
2.406	37.38	31
2.151	41.99	29
2.044	44.33	33
1.687	54.40	28
1.681	54.58	36

Cell and atoms:
```
data_Zr3N2O3
_chemical_formula_sum 'Zr6 N4 O6'
_cell_length_a 5.747
_cell_length_b 5.747
_cell_length_c 10.781
_cell_angle_alpha 90.00
_cell_angle_beta 90.00
_cell_angle_gamma 138.34
_symmetry_space_group_name_H-M 'P 1'
_symmetry_Int_Tables_number 1
_symmetry_space_group_name_Hall 'P 1'
loop_
_atom_site_label
_atom_site_type_symbol
_atom_site_fract_x
_atom_site_fract_y
_atom_site_fract_z
Zr1 Zr 0.143 0.857 0.557
Zr2 Zr 0.143 0.857 0.943
Zr3 Zr 0.192 0.808 0.250
Zr4 Zr 0.808 0.192 0.750
Zr5 Zr 0.857 0.143 0.057
Zr6 Zr 0.857 0.143 0.443
N1 N 0.299 0.701 0.079
N2 N 0.299 0.701 0.421
N3 N 0.701 0.299 0.579
N4 N 0.701 0.299 0.921
O1 O 0.044 0.956 0.116
O2 O 0.044 0.956 0.384
O3 O 0.246 0.754 0.750
O4 O 0.754 0.246 0.250
O5 O 0.956 0.044 0.616
O6 O 0.956 0.044 0.884
```

=====

[4]
Starting from the PBE geometry in the Materials Project, the X-ray powder pattern of Zr3N2O3 was computed for Cu Ka.
Neutral-atom scattering factors, no anomalous dispersion.

Principal peaks in the range 2θ from 10° to 90°, in order of rising 2θ:
d (Å)	2theta	I_rel
5.424	16.34	53
3.761	23.66	100
3.016	29.62	93
2.684	33.39	49
2.612	34.34	61
2.171	41.59	22
2.005	45.22	32
1.800	50.73	19
1.688	54.35	29
1.670	54.99	31

Cell and atoms:
```
data_Zr3N2O3
_chemical_formula_sum 'Zr6 N4 O6'
_cell_length_a 5.777
_cell_length_b 5.777
_cell_length_c 10.892
_cell_angle_alpha 90.00
_cell_angle_beta 90.00
_cell_angle_gamma 139.38
_symmetry_space_group_name_H-M 'P 1'
_symmetry_Int_Tables_number 1
_symmetry_space_group_name_Hall 'P 1'
loop_
_atom_site_label
_atom_site_type_symbol
_atom_site_fract_x
_atom_site_fract_y
_atom_site_fract_z
Zr1 Zr 0.136 0.864 0.500
Zr2 Zr 0.136 0.864 0.886
Zr3 Zr 0.186 0.814 0.191
Zr4 Zr 0.814 0.186 0.691
Zr5 Zr 0.864 0.136 0.000
Zr6 Zr 0.864 0.136 0.386
N1 N 0.047 0.953 0.055
N2 N 0.295 0.705 0.364
N3 N 0.705 0.295 0.864
N4 N 0.953 0.047 0.555
O1 O 0.045 0.955 0.323
O2 O 0.244 0.756 0.680
O3 O 0.307 0.693 0.020
O4 O 0.693 0.307 0.520
O5 O 0.756 0.244 0.180
O6 O 0.955 0.045 0.823
```

=====

[5]
Starting from the PBE geometry in the Materials Project, the X-ray powder pattern of Os2Pb3N4 was computed for Cu Ka.
Neutral-atom scattering factors, no anomalous dispersion.

Principal peaks in the range 2θ from 10° to 90°, in order of rising 2θ:
d (Å)	2theta	I_rel
5.160	17.19	13
3.306	26.97	38
3.260	27.36	60
3.112	28.68	15
3.042	29.36	100
2.643	33.92	56
2.364	38.06	23
2.321	38.80	21
1.984	45.72	12
1.837	49.62	24

Cell and atoms:
```
data_Os2Pb3N4
_chemical_formula_sum 'Os8 Pb12 N16'
_cell_length_a 6.520
_cell_length_b 10.470
_cell_length_c 10.319
_cell_angle_alpha 90.00
_cell_angle_beta 90.00
_cell_angle_gamma 90.00
_symmetry_space_group_name_H-M 'P 1'
_symmetry_Int_Tables_number 1
_symmetry_space_group_name_Hall 'P 1'
loop_
_atom_site_label
_atom_site_type_symbol
_atom_site_fract_x
_atom_site_fract_y
_atom_site_fract_z
Os1 Os 0.208 0.250 0.250
Os2 Os 0.250 0.000 0.245
Os3 Os 0.250 0.500 0.255
Os4 Os 0.292 0.750 0.250
Os5 Os 0.708 0.250 0.750
Os6 Os 0.750 0.000 0.755
Os7 Os 0.750 0.500 0.745
Os8 Os 0.792 0.750 0.750
Pb1 Pb 0.189 0.155 0.887
Pb2 Pb 0.189 0.345 0.613
Pb3 Pb 0.250 0.000 0.590
Pb4 Pb 0.250 0.500 0.910
Pb5 Pb 0.311 0.655 0.613
Pb6 Pb 0.311 0.845 0.887
Pb7 Pb 0.689 0.155 0.113
Pb8 Pb 0.689 0.345 0.387
Pb9 Pb 0.750 0.000 0.410
Pb10 Pb 0.750 0.500 0.090
Pb11 Pb 0.811 0.655 0.387
Pb12 Pb 0.811 0.845 0.113
N1 N 0.090 0.109 0.352
N2 N 0.090 0.391 0.148
N3 N 0.182 0.639 0.387
N4 N 0.182 0.861 0.113
N5 N 0.318 0.139 0.113
N6 N 0.318 0.361 0.387
N7 N 0.410 0.609 0.148
N8 N 0.410 0.891 0.352
N9 N 0.590 0.109 0.648
N10 N 0.590 0.391 0.852
N11 N 0.682 0.639 0.613
N12 N 0.682 0.861 0.887
N13 N 0.818 0.139 0.887
N14 N 0.818 0.361 0.613
N15 N 0.910 0.609 0.852
N16 N 0.910 0.891 0.648
```